[1]
Simulated PXRD pattern
Compound: MgSiSb
Radiation: Cu Kα, 1.54184 Å
Structure: a cell relaxed with PBE
Peak positions follow from Bragg's law for the DFT cell and can differ from measured ones.

Structural model:
```
MgSiSb
1.0
6.212 0.000 0.000
0.000 3.563 0.000
-0.636 0.000 6.539
Mg Si Sb
2 2 2
Cartesian
0.899 0.891 2.316 Mg
4.677 2.673 4.224 Mg
0.750 2.673 0.200 Si
4.826 0.891 6.339 Si
1.638 2.673 4.635 Sb
3.938 0.891 1.905 Sb
```

Principal peaks in the range 2θ = 10–90°, most intense first:
h k l, 2θ (°), I (rel.)
0 1 1, 28.53, 100
1 0 1, 20.70, 74
1 1 0, 28.91, 71
2 0 -1, 30.77, 53
2 1 1, 42.05, 49
2 1 -2, 46.09, 43
1 0 -2, 29.65, 30
0 1 2, 37.32, 25
2 1 0, 38.56, 25
0 0 2, 27.28, 23



[2]
Simulated PXRD pattern
Compound: MgSiSb
Radiation: Cu Kα, 1.54184 Å
Structure: a cell relaxed with PBE
Peak positions follow from Bragg's law for the DFT cell and can differ from measured ones.

Structural model:
```
MgSiSb
1.0
5.792 0.000 0.000
0.000 3.707 0.000
-1.450 0.000 6.385
Mg Si Sb
2 2 2
Cartesian
0.000 0.000 0.000 Mg
1.193 1.854 5.097 Mg
2.787 0.000 0.856 Si
4.219 1.854 1.456 Si
0.888 0.000 2.723 Sb
4.031 1.854 4.156 Sb
```

Principal peaks in the range 2θ = 10–90°, most intense first:
h k l, 2θ (°), I (rel.)
1 1 0, 28.81, 100
2 0 -1, 31.68, 88
0 0 1, 13.87, 72
2 1 1, 45.07, 64
0 1 2, 37.17, 58
1 1 -1, 30.49, 57
0 1 1, 27.83, 56
1 0 1, 23.22, 43
1 0 2, 35.22, 41
1 0 -2, 28.92, 35



[3]
Simulated PXRD pattern
Compound: Sm3Mg21Sb16
Radiation: Cu Kα, 1.54184 Å
Structure: a cell relaxed with PBE
Peak positions follow from Bragg's law for the DFT cell and can differ from measured ones.

Structural model:
```
Sm3Mg21Sb16
1.0
4.644 0.000 0.000
-2.322 4.022 0.000
0.000 0.000 58.600
Sm Mg Sb
3 21 16
Cartesian
0.000 0.000 0.000 Sm
0.000 0.000 14.700 Sm
0.000 0.000 43.900 Sm
0.000 0.000 7.340 Mg
0.000 0.000 22.132 Mg
0.000 0.000 29.300 Mg
0.000 0.000 36.468 Mg
0.000 0.000 51.260 Mg
0.000 2.681 4.790 Mg
0.000 2.681 11.888 Mg
0.000 2.681 19.523 Mg
0.000 2.681 26.659 Mg
0.000 2.681 33.876 Mg
0.000 2.681 41.084 Mg
0.000 2.681 48.713 Mg
0.000 2.681 55.810 Mg
2.322 1.341 2.790 Mg
2.322 1.341 9.887 Mg
2.322 1.341 17.516 Mg
2.322 1.341 24.724 Mg
2.322 1.341 31.941 Mg
2.322 1.341 39.077 Mg
2.322 1.341 46.712 Mg
2.322 1.341 53.810 Mg
0.000 2.681 1.813 Sb
0.000 2.681 8.962 Sb
0.000 2.681 16.511 Sb
0.000 2.681 23.680 Sb
0.000 2.681 30.932 Sb
0.000 2.681 38.179 Sb
0.000 2.681 45.725 Sb
0.000 2.681 52.882 Sb
2.322 1.341 5.718 Sb
2.322 1.341 12.875 Sb
2.322 1.341 20.421 Sb
2.322 1.341 27.668 Sb
2.322 1.341 34.920 Sb
2.322 1.341 42.089 Sb
2.322 1.341 49.638 Sb
2.322 1.341 56.787 Sb
```

Principal peaks in the range 2θ = 10–90°, most intense first:
h k l, 2θ (°), I (rel.)
0 1 8, 25.26, 100
0 1 16, 33.08, 62
1 1 0, 38.78, 60
1 0 24, 43.35, 35
2 0 8, 46.85, 19
2 0 16, 51.87, 17
1 2 16, 66.61, 16
1 2 8, 62.39, 16
0 2 24, 59.55, 15
1 1 16, 46.30, 15



[4]
Simulated PXRD pattern
Compound: Mg14SnSb
Radiation: Cu Kα, 1.54184 Å
Structure: a cell relaxed with PBE
Peak positions follow from Bragg's law for the DFT cell and can differ from measured ones.

Structural model:
```
Mg14SnSb
1.0
6.484 0.000 0.000
-3.242 5.615 0.000
0.000 0.000 10.106
Mg Sn Sb
14 1 1
Cartesian
0.000 0.000 2.529 Mg
0.000 0.000 7.577 Mg
1.610 0.929 0.000 Mg
1.614 0.932 5.053 Mg
3.242 0.049 2.541 Mg
3.242 0.049 7.565 Mg
1.663 2.783 2.541 Mg
1.663 2.783 7.565 Mg
4.874 0.929 0.000 Mg
4.870 0.932 5.053 Mg
3.242 3.752 5.053 Mg
3.242 3.756 0.000 Mg
4.821 2.783 2.541 Mg
4.821 2.783 7.565 Mg
0.000 3.743 5.053 Sn
0.000 3.743 0.000 Sb
```

Principal peaks in the range 2θ = 10–90°, most intense first:
h k l, 2θ (°), I (rel.)
2 0 2, 36.62, 100
1 0 0, 15.78, 47
1 0 2, 23.69, 41
2 0 0, 31.87, 31
0 0 4, 35.53, 23
2 2 4, 68.81, 19
2 0 4, 48.47, 19
2 0 6, 64.52, 18
2 2 0, 56.80, 17
1 1 2, 32.82, 17



[5]
Simulated PXRD pattern
Compound: SrMg2Sb
Radiation: Cu Kα, 1.54184 Å
Structure: a cell relaxed with PBE
Peak positions follow from Bragg's law for the DFT cell and can differ from measured ones.

Structural model:
```
SrMg2Sb
1.0
3.976 0.000 0.000
0.000 3.976 0.000
0.000 0.000 7.427
Sr Mg Sb
1 2 1
Cartesian
0.000 0.000 0.000 Sr
0.000 0.000 3.964 Mg
1.988 1.988 2.388 Mg
1.988 1.988 5.349 Sb
```

Principal peaks in the range 2θ = 10–90°, most intense first:
h k l, 2θ (°), I (rel.)
1 0 2, 33.01, 100
1 1 0, 31.83, 65
1 0 1, 25.41, 59
0 0 1, 11.92, 52
2 1 2, 57.47, 40
2 0 0, 45.64, 23
0 0 4, 49.04, 23
1 1 4, 59.67, 21
1 1 1, 34.10, 17
2 1 1, 52.96, 16



[6]
Simulated PXRD pattern
Compound: MgTa2Sb
Radiation: Cu Kα, 1.54184 Å
Structure: a cell relaxed with PBE
Peak positions follow from Bragg's law for the DFT cell and can differ from measured ones.

Structural model:
```
MgTa2Sb
1.0
3.586 0.000 0.000
0.000 3.586 0.000
0.000 0.000 6.112
Mg Ta Sb
1 2 1
Cartesian
0.000 0.000 0.000 Mg
0.000 0.000 3.219 Ta
1.793 1.793 4.530 Ta
1.793 1.793 1.586 Sb
```

Principal peaks in the range 2θ = 10–90°, most intense first:
h k l, 2θ (°), I (rel.)
1 0 2, 38.71, 100
1 1 0, 35.40, 66
2 1 2, 65.76, 42
0 0 1, 14.49, 39
2 0 0, 50.93, 24
1 0 1, 28.87, 16
1 1 1, 38.43, 15
1 1 4, 72.18, 14
3 1 0, 85.65, 11
2 0 4, 83.04, 10



[7]
Simulated PXRD pattern
Compound: Tb3MgSb4
Radiation: Cu Kα, 1.54184 Å
Structure: a cell relaxed with PBE
Peak positions follow from Bragg's law for the DFT cell and can differ from measured ones.

Structural model:
```
Tb3MgSb4
1.0
6.203 0.000 0.000
0.000 6.203 0.000
0.000 0.000 6.203
Tb Mg Sb
3 1 4
Cartesian
0.000 0.000 3.101 Tb
0.000 3.101 0.000 Tb
3.101 0.000 0.000 Tb
3.101 3.101 3.101 Mg
0.000 0.000 0.000 Sb
0.000 3.101 3.101 Sb
3.101 0.000 3.101 Sb
3.101 3.101 0.000 Sb
```

Principal peaks in the range 2θ = 10–90°, most intense first:
h k l, 2θ (°), I (rel.)
2 0 0, 28.79, 100
2 2 0, 41.16, 76
4 2 0, 67.53, 35
2 2 2, 51.00, 27
4 2 2, 75.02, 26
4 0 0, 59.62, 13
1 0 0, 14.28, 9
4 4 0, 89.35, 9
1 1 0, 20.25, 8
2 1 0, 32.27, 5



[8]
Simulated PXRD pattern
Compound: YMgSb2Te
Radiation: Cu Kα, 1.54184 Å
Structure: a cell relaxed with PBE
Peak positions follow from Bragg's law for the DFT cell and can differ from measured ones.

Structural model:
```
YMgSb2Te
1.0
5.301 0.000 0.000
0.000 5.301 0.000
0.000 0.000 5.504
Y Mg Sb Te
1 1 2 1
Cartesian
0.000 0.000 0.000 Y
2.651 2.651 2.752 Mg
0.000 2.651 2.752 Sb
2.651 0.000 2.752 Sb
2.651 2.651 0.000 Te
```

Principal peaks in the range 2θ = 10–90°, most intense first:
h k l, 2θ (°), I (rel.)
1 1 1, 28.82, 100
2 0 0, 33.82, 41
2 0 2, 47.63, 31
3 1 1, 57.47, 28
0 0 2, 32.54, 23
2 2 2, 59.69, 15
1 1 3, 55.79, 15
2 2 0, 48.58, 15
3 1 3, 77.06, 12
2 0 4, 78.29, 7



[9]
Simulated PXRD pattern
Compound: MgTiSb2
Radiation: Cu Kα, 1.54184 Å
Structure: a cell relaxed with PBE
Peak positions follow from Bragg's law for the DFT cell and can differ from measured ones.

Structural model:
```
MgTiSb2
1.0
3.724 0.000 0.000
0.000 3.724 0.000
0.000 0.000 6.330
Mg Ti Sb
1 1 2
Cartesian
0.000 0.000 0.000 Mg
0.000 0.000 3.165 Ti
1.862 1.862 1.697 Sb
1.862 1.862 4.633 Sb
```

Principal peaks in the range 2θ = 10–90°, most intense first:
h k l, 2θ (°), I (rel.)
1 0 2, 37.29, 100
1 1 0, 34.05, 67
1 0 0, 23.90, 47
2 1 2, 63.08, 41
2 0 0, 48.92, 23
1 1 2, 44.77, 17
0 0 2, 28.20, 14
1 1 4, 69.27, 14
3 1 0, 81.79, 10
2 1 0, 55.15, 10



[10]
Simulated PXRD pattern
Compound: MgTl3Sb
Radiation: Cu Kα, 1.54184 Å
Structure: a cell relaxed with PBE
Peak positions follow from Bragg's law for the DFT cell and can differ from measured ones.

Structural model:
```
MgTl3Sb
1.0
5.504 0.000 0.000
0.000 5.504 0.000
0.000 0.000 5.504
Mg Tl Sb
1 3 1
Cartesian
0.000 0.000 0.000 Mg
0.000 0.000 2.752 Tl
0.000 2.752 0.000 Tl
2.752 0.000 0.000 Tl
2.752 2.752 2.752 Sb
```

Principal peaks in the range 2θ = 10–90°, most intense first:
h k l, 2θ (°), I (rel.)
1 1 1, 28.08, 100
2 0 0, 32.54, 59
3 1 1, 55.36, 46
2 2 0, 46.68, 44
4 2 0, 77.57, 20
3 3 1, 75.26, 19
4 2 2, 86.66, 16
2 2 2, 58.05, 15
4 0 0, 68.15, 7
1 0 0, 16.10, 6



[11]
Simulated PXRD pattern
Compound: Mg2TlSb
Radiation: Cu Kα, 1.54184 Å
Structure: a cell relaxed with PBE
Peak positions follow from Bragg's law for the DFT cell and can differ from measured ones.

Structural model:
```
Mg2TlSb
1.0
3.376 0.000 0.000
0.000 4.200 0.000
-0.162 0.000 6.981
Mg Tl Sb
2 1 1
Cartesian
-0.025 0.000 1.766 Mg
3.239 0.000 5.215 Mg
1.688 2.100 0.000 Tl
1.607 2.100 3.491 Sb
```

Principal peaks in the range 2θ = 10–90°, most intense first:
h k l, 2θ (°), I (rel.)
0 1 2, 33.38, 100
1 1 0, 34.08, 95
0 1 0, 21.15, 81
0 0 2, 25.52, 51
1 0 0, 26.41, 47
1 0 -2, 36.60, 39
1 0 2, 37.50, 36
1 1 -2, 42.66, 27
1 1 2, 43.45, 25
0 2 0, 43.07, 25



[12]
Simulated PXRD pattern
Compound: YMgSb2
Radiation: Cu Kα, 1.54184 Å
Structure: a cell relaxed with PBE
Peak positions follow from Bragg's law for the DFT cell and can differ from measured ones.

Structural model:
```
YMgSb2
1.0
4.388 0.000 0.000
0.000 4.388 0.000
0.000 0.000 10.834
Y Mg Sb
2 2 4
Cartesian
1.097 1.097 2.341 Y
3.291 3.291 8.492 Y
1.097 3.291 5.417 Mg
3.291 1.097 5.417 Mg
1.097 1.097 7.386 Sb
1.097 3.291 0.000 Sb
3.291 1.097 0.000 Sb
3.291 3.291 3.447 Sb
```

Principal peaks in the range 2θ = 10–90°, most intense first:
h k l, 2θ (°), I (rel.)
1 1 2, 33.27, 100
2 0 0, 41.14, 37
1 0 2, 26.13, 33
1 0 4, 39.08, 24
3 1 2, 69.98, 22
1 1 1, 29.95, 22
2 1 4, 58.04, 15
0 0 3, 24.65, 14
2 2 0, 59.59, 12
2 1 2, 49.39, 11



[13]
Simulated PXRD pattern
Compound: Y2MgSb4
Radiation: Cu Kα, 1.54184 Å
Structure: a cell relaxed with PBE
Peak positions follow from Bragg's law for the DFT cell and can differ from measured ones.

Structural model:
```
Y2MgSb4
1.0
4.236 0.000 0.000
0.000 4.236 0.000
0.000 0.000 11.162
Y Mg Sb
2 1 4
Cartesian
0.000 2.118 2.511 Y
2.118 0.000 8.651 Y
0.000 0.000 5.581 Mg
0.000 0.000 0.000 Sb
0.000 2.118 7.530 Sb
2.118 0.000 3.632 Sb
2.118 2.118 0.000 Sb
```

Principal peaks in the range 2θ = 10–90°, most intense first:
h k l, 2θ (°), I (rel.)
1 1 2, 33.97, 100
2 0 0, 42.69, 37
1 0 2, 26.41, 37
1 1 1, 30.91, 34
0 0 3, 23.92, 25
1 0 4, 38.64, 24
3 1 2, 72.58, 21
0 0 4, 32.05, 16
2 0 3, 49.52, 14
2 1 4, 58.93, 13



[14]
Simulated PXRD pattern
Compound: Y2MgSb
Radiation: Cu Kα, 1.54184 Å
Structure: a cell relaxed with PBE
Peak positions follow from Bragg's law for the DFT cell and can differ from measured ones.

Structural model:
```
Y2MgSb
1.0
4.199 0.000 0.000
0.000 4.199 0.000
0.000 0.000 6.392
Y Mg Sb
2 1 1
Cartesian
0.000 0.000 0.000 Y
2.099 2.099 1.926 Y
0.000 0.000 3.253 Mg
2.099 2.099 5.109 Sb
```

Principal peaks in the range 2θ = 10–90°, most intense first:
h k l, 2θ (°), I (rel.)
1 0 2, 35.29, 100
1 1 0, 30.10, 84
2 1 2, 56.87, 49
2 0 0, 43.09, 31
1 0 0, 21.16, 17
0 0 1, 13.85, 15
1 1 4, 66.43, 14
3 2 2, 89.60, 14
3 1 0, 70.99, 13
1 1 2, 41.52, 11